1.
Starting from a crystal structure in Alexandria, relaxed with GGA-PBE, the powder X-ray diffraction pattern of NpZn3O7 was computed for copper Kα.
Kinematic intensities with the Lorentz-polarization factor, no thermal factor.

Cell and atoms:
Unit cell a=5.279 b=5.360 c=5.794 alpha=100.74 beta=100.29 gamma=98.65
Atoms (fractional coordinates):
Np: 0.000 0.000 0.000
Zn: 0.138 0.599 0.395
Zn: 0.407 0.566 0.863
Zn: 0.599 0.163 0.431
O: 0.116 0.737 0.740
O: 0.272 0.282 0.998
O: 0.274 0.894 0.262
O: 0.449 0.462 0.535
O: 0.744 0.737 0.065
O: 0.753 0.066 0.733
O: 0.882 0.271 0.269

Top 10 peaks for 2θ = 10–90°, most intense first:
2theta, I_rel
27.3, 100.0
26.8, 40.3
20.7, 36.5
15.9, 28.5
27.1, 25.1
17.4, 25.1
21.0, 24.3
35.8, 20.5
56.3, 19.8
32.2, 19.3

2.
Starting from a crystal structure in Alexandria, relaxed with GGA-PBE, the powder X-ray diffraction pattern of NpZn2O5 was computed for copper Kα.
Kinematic intensities with the Lorentz-polarization factor, no thermal factor.

Cell and atoms:
Unit cell a=5.851 b=5.851 c=6.194 alpha=117.22 beta=117.22 gamma=67.91
Atoms (fractional coordinates):
Np: 0.000 0.000 0.000
Zn: 0.016 0.591 0.339
Zn: 0.591 0.016 0.339
O: 0.270 0.270 0.306
O: 0.303 0.742 0.015
O: 0.742 0.303 0.015
O: 0.830 0.830 0.586
O: 0.872 0.872 0.190

Top 10 peaks for 2θ = 10–90°, most intense first:
2theta, I_rel
17.4, 100.0
19.0, 57.7
19.8, 45.3
17.2, 41.8
29.0, 33.4
28.6, 25.1
34.9, 25.0
32.4, 24.2
30.9, 21.4
47.9, 20.8

3.
Starting from a crystal structure in Alexandria, relaxed with GGA-PBE, the powder X-ray diffraction pattern of NpZnO5 was computed for copper Kα.
Kinematic intensities with the Lorentz-polarization factor, no thermal factor.

Cell and atoms:
Unit cell a=5.318 b=10.337 c=7.219 alpha=90.00 beta=106.95 gamma=90.00
Atoms (fractional coordinates):
Np: 0.040 0.023 0.254
Np: 0.040 0.477 0.754
Np: 0.960 0.523 0.246
Np: 0.960 0.977 0.746
Zn: 0.405 0.249 0.609
Zn: 0.405 0.251 0.109
Zn: 0.595 0.749 0.891
Zn: 0.595 0.751 0.391
O: 0.141 0.090 0.592
O: 0.141 0.410 0.092
O: 0.159 0.090 0.007
O: 0.159 0.410 0.507
O: 0.240 0.638 0.311
O: 0.240 0.862 0.811
O: 0.313 0.594 0.808
O: 0.313 0.906 0.308
O: 0.328 0.185 0.344
O: 0.328 0.315 0.844
O: 0.672 0.685 0.156
O: 0.672 0.815 0.656
O: 0.687 0.094 0.692
O: 0.687 0.406 0.192
O: 0.760 0.138 0.189
O: 0.760 0.362 0.689
O: 0.841 0.590 0.493
O: 0.841 0.910 0.993
O: 0.859 0.590 0.908
O: 0.859 0.910 0.408

Top 10 peaks for 2θ = 10–90°, most intense first:
2theta, I_rel
24.6, 100.0
17.4, 39.1
17.2, 33.6
31.9, 33.5
31.2, 33.5
25.8, 27.3
26.6, 20.0
39.5, 14.9
44.3, 13.2
35.4, 12.6

4.
Starting from a crystal structure in Alexandria, relaxed with GGA-PBE, the powder X-ray diffraction pattern of NpZn2O7 was computed for copper Kα.
Kinematic intensities with the Lorentz-polarization factor, no thermal factor.

Cell and atoms:
Unit cell a=5.961 b=5.961 c=10.217 alpha=102.79 beta=102.79 gamma=80.99
Atoms (fractional coordinates):
Np: 0.185 0.815 0.750
Np: 0.815 0.185 0.250
Zn: 0.164 0.712 0.387
Zn: 0.288 0.836 0.113
Zn: 0.712 0.164 0.887
Zn: 0.836 0.288 0.613
O: 0.010 0.559 0.664
O: 0.105 0.895 0.250
O: 0.119 0.805 0.923
O: 0.195 0.881 0.577
O: 0.441 0.990 0.836
O: 0.483 0.515 0.435
O: 0.485 0.517 0.065
O: 0.515 0.483 0.935
O: 0.517 0.485 0.565
O: 0.559 0.010 0.164
O: 0.805 0.119 0.423
O: 0.881 0.195 0.077
O: 0.895 0.105 0.750
O: 0.990 0.441 0.336

Top 10 peaks for 2θ = 10–90°, most intense first:
2theta, I_rel
20.5, 100.0
16.2, 76.7
28.7, 71.4
23.0, 46.5
36.3, 38.4
18.2, 33.7
15.3, 31.3
34.1, 25.4
52.2, 23.4
36.9, 23.4